1.
For Ac3Eu, a GGA-PBE-relaxed structure gives the calculated X-ray diffraction stick pattern in this record (Cu Ka).

Most intense lines, 2θ = 5–70°, by angle:
(hkl)	2θ (°)	I_rel
2 0 0	25.2	23
0 0 2	27.2	25
2 0 1	28.7	100
2 0 2	37.4	17
2 2 0	44.4	21
2 0 3	49.0	24
2 2 2	52.9	25
4 0 1	53.8	18
4 0 2	59.5	4
4 0 3	68.3	9

Atomic structure:
```
data_Ac3Eu
_chemical_formula_sum 'Ac6 Eu2'
_cell_length_a 8.1556
_cell_length_b 8.1556
_cell_length_c 6.5536
_cell_angle_alpha 90.00
_cell_angle_beta 90.00
_cell_angle_gamma 120.00
_space_group_name_H-M_alt 'P 1'
_space_group_IT_number 1
loop_
_space_group_symop_operation_xyz
'x,y,z'
loop_
_atom_site_label
_atom_site_type_symbol
_atom_site_fract_x
_atom_site_fract_y
_atom_site_fract_z
Ac1 Ac 0.1663 0.3325 0.2500
Ac2 Ac 0.1663 0.8337 0.2500
Ac3 Ac 0.3325 0.1663 0.7500
Ac4 Ac 0.6675 0.8337 0.2500
Ac5 Ac 0.8337 0.1663 0.7500
Ac6 Ac 0.8337 0.6675 0.7500
Eu1 Eu 0.3333 0.6667 0.7500
Eu2 Eu 0.6667 0.3333 0.2500
```

***

2.
For BiPO4, a GGA-PBE-relaxed structure gives the calculated X-ray diffraction stick pattern in this record (Cu Ka).

Most intense lines, 2θ = 5–70°, by angle:
(hkl)	2θ (°)	I_rel
0 0 1	18.5	39
1 0 0	18.6	41
0 1 1	22.2	44
1 1 0	22.3	40
0 2 0	24.4	100
1 0 -1	25.2	89
1 1 1	30.2	94
1 2 -1	35.4	48
0 1 2	39.6	39
2 1 0	39.8	40

Atomic structure:
```
data_BiPO4
_chemical_formula_sum 'Bi2 P2 O8'
_cell_length_a 4.7805
_cell_length_b 7.2831
_cell_length_c 4.8116
_cell_angle_alpha 90.00
_cell_angle_beta 94.90
_cell_angle_gamma 90.00
_space_group_name_H-M_alt 'P 1'
_space_group_IT_number 1
loop_
_space_group_symop_operation_xyz
'x,y,z'
loop_
_atom_site_label
_atom_site_type_symbol
_atom_site_fract_x
_atom_site_fract_y
_atom_site_fract_z
Bi1 Bi 0.1312 0.2500 0.1369
Bi2 Bi 0.8688 0.7500 0.8631
P1 P 0.3400 0.7500 0.3321
P2 P 0.6600 0.2500 0.6679
O1 O 0.1895 0.5851 0.1747
O2 O 0.1895 0.9149 0.1747
O3 O 0.2969 0.7500 0.6467
O4 O 0.3400 0.2500 0.6929
O5 O 0.6600 0.7500 0.3071
O6 O 0.7031 0.2500 0.3533
O7 O 0.8105 0.0851 0.8253
O8 O 0.8105 0.4149 0.8253
```

***

3.
For SmHf, a GGA-PBE-relaxed structure gives the calculated X-ray diffraction stick pattern in this record (Cu Ka).

Most intense lines, 2θ = 5–70°, by angle:
(hkl)	2θ (°)	I_rel
1 0 0	30.5	24
0 0 2	32.5	26
1 0 1	34.7	100
1 0 2	45.2	16
1 1 0	54.3	19
1 0 3	59.5	21
2 0 0	63.6	3
1 1 2	64.7	22
2 0 1	66.1	16
0 0 4	68.1	3

Atomic structure:
```
data_SmHf
_chemical_formula_sum 'Sm1 Hf1'
_cell_length_a 3.3802
_cell_length_b 3.3802
_cell_length_c 5.5038
_cell_angle_alpha 90.00
_cell_angle_beta 90.00
_cell_angle_gamma 120.00
_space_group_name_H-M_alt 'P 1'
_space_group_IT_number 1
loop_
_space_group_symop_operation_xyz
'x,y,z'
loop_
_atom_site_label
_atom_site_type_symbol
_atom_site_fract_x
_atom_site_fract_y
_atom_site_fract_z
Sm1 Sm 0.0000 0.0000 0.0000
Hf1 Hf 0.3333 0.6667 0.5000
```

***

What did the second record say?
For BiPO4, a GGA-PBE-relaxed structure gives the calculated X-ray diffraction stick pattern in this record (Cu Ka).

Most intense lines, 2θ = 5–70°, by angle:
(hkl)	2θ (°)	I_rel
0 0 1	18.5	39
1 0 0	18.6	41
0 1 1	22.2	44
1 1 0	22.3	40
0 2 0	24.4	100
1 0 -1	25.2	89
1 1 1	30.2	94
1 2 -1	35.4	48
0 1 2	39.6	39
2 1 0	39.8	40

Atomic structure:
```
data_BiPO4
_chemical_formula_sum 'Bi2 P2 O8'
_cell_length_a 4.7805
_cell_length_b 7.2831
_cell_length_c 4.8116
_cell_angle_alpha 90.00
_cell_angle_beta 94.90
_cell_angle_gamma 90.00
_space_group_name_H-M_alt 'P 1'
_space_group_IT_number 1
loop_
_space_group_symop_operation_xyz
'x,y,z'
loop_
_atom_site_label
_atom_site_type_symbol
_atom_site_fract_x
_atom_site_fract_y
_atom_site_fract_z
Bi1 Bi 0.1312 0.2500 0.1369
Bi2 Bi 0.8688 0.7500 0.8631
P1 P 0.3400 0.7500 0.3321
P2 P 0.6600 0.2500 0.6679
O1 O 0.1895 0.5851 0.1747
O2 O 0.1895 0.9149 0.1747
O3 O 0.2969 0.7500 0.6467
O4 O 0.3400 0.2500 0.6929
O5 O 0.6600 0.7500 0.3071
O6 O 0.7031 0.2500 0.3533
O7 O 0.8105 0.0851 0.8253
O8 O 0.8105 0.4149 0.8253
```